# NpTiTe4
Calculated powder XRD pattern, Cu Kα (λ = 1.5418 Å). Input: DFT lattice parameters and positions (PBE).

Principal peaks in the range 2θ = 10–80°, in order of rising 2θ:
- hkl 1 0 0, 12.88 deg, intensity 32
- hkl 1 1 -1, 28.50 deg, intensity 100
- hkl 2 0 -2, 36.23 deg, intensity 14
- hkl 2 1 -1, 36.52 deg, intensity 18
- hkl 2 1 1, 36.69 deg, intensity 29
- hkl 0 1 3, 44.43 deg, intensity 21
- hkl 0 2 0, 44.94 deg, intensity 12
- hkl 3 1 1, 47.54 deg, intensity 17
- hkl 4 0 0, 53.29 deg, intensity 12
- hkl 4 2 0, 72.25 deg, intensity 11

Atomic structure:
Unit cell a=6.872 b=4.034 c=7.089 alpha=90.00 beta=90.64 gamma=90.00
Space group P2/m (No. 10)
Asymmetric unit:
Np 0.000 0.000 0.000
Ti 0.000 0.500 0.500
Te 0.244 0.000 0.354
Te 0.258 0.500 0.808